Simulated X-ray diffraction stick pattern of Nd2NiAgBi4 for Cu Kα (λ = 1.5418 Å), from a crystal structure in OQMD, relaxed with PBE.
No peak broadening, texture or thermal motion is included.

Most intense lines, 15° ≤ 2θ ≤ 90°, in order of rising 2θ:
2θ 26.3, intensity 14.7; 2θ 27.0, intensity 18.7; 2θ 28.7, intensity 27.2; 2θ 32.7, intensity 100.0; 2θ 38.8, intensity 46.1; 2θ 45.9, intensity 10.5; 2θ 47.9, intensity 16.6; 2θ 50.0, intensity 10.7; 2θ 54.1, intensity 8.3; 2θ 56.1, intensity 16.0; 2θ 65.0, intensity 9.9; 2θ 66.5, intensity 26.2

Structural model:
```
Nd2NiAgBi4
1.0
4.6392 0.0000 0.0000
0.0000 4.6392 0.0000
0.0000 0.0000 9.9233
Nd Ni Ag Bi
2 1 1 4
Direct
0.0000 0.5000 0.2349
0.5000 0.0000 0.7651
0.0000 0.0000 0.0000
0.5000 0.5000 0.0000
0.0000 0.0000 0.5000
0.0000 0.5000 0.8357
0.5000 0.0000 0.1643
0.5000 0.5000 0.5000
```

***

Simulated X-ray diffraction stick pattern of BaLaCuTeS2 for Cu Kα (λ = 1.5418 Å), from a crystal structure in OQMD, relaxed with PBE.
No peak broadening, texture or thermal motion is included.

Most intense lines, 15° ≤ 2θ ≤ 90°, in order of rising 2θ:
2θ 21.0, intensity 26.3; 2θ 26.0, intensity 100.0; 2θ 30.4, intensity 34.6; 2θ 30.8, intensity 79.3; 2θ 31.3, intensity 60.1; 2θ 33.1, intensity 51.0; 2θ 33.9, intensity 50.7; 2θ 36.6, intensity 29.8; 2θ 40.7, intensity 48.8; 2θ 44.5, intensity 32.7; 2θ 51.6, intensity 30.1; 2θ 61.9, intensity 36.6

Structural model:
```
BaLaCuTeS2
1.0
11.7542 0.0000 0.0000
0.0000 4.4359 0.0000
0.0000 0.0000 12.1978
Ba La Cu Te S
4 4 4 4 8
Direct
0.2073 0.2500 0.0135
0.2927 0.7500 0.5135
0.7073 0.2500 0.4865
0.7927 0.7500 0.9865
0.0080 0.2500 0.6759
0.4920 0.7500 0.1759
0.5080 0.2500 0.8241
0.9920 0.7500 0.3241
0.2347 0.2500 0.2938
0.2653 0.7500 0.7938
0.7347 0.2500 0.2062
0.7653 0.7500 0.7062
0.0505 0.7500 0.8606
0.4495 0.2500 0.3606
0.5505 0.7500 0.6394
0.9495 0.2500 0.1394
0.1022 0.2500 0.4406
0.2254 0.7500 0.2093
0.2746 0.2500 0.7093
0.3978 0.7500 0.9406
0.6022 0.2500 0.0594
0.7254 0.7500 0.2907
0.7746 0.2500 0.7907
0.8978 0.7500 0.5594
```

***

Simulated X-ray diffraction stick pattern of La3NdAs2Br2 for Cu Kα (λ = 1.5418 Å), from a crystal structure in OQMD, relaxed with PBE.
No peak broadening, texture or thermal motion is included.

Most intense lines, 15° ≤ 2θ ≤ 90°, in order of rising 2θ:
2θ 24.1, intensity 10.9; 2θ 24.8, intensity 11.6; 2θ 26.9, intensity 12.1; 2θ 30.0, intensity 100.0; 2θ 34.0, intensity 22.3; 2θ 42.4, intensity 44.5; 2θ 43.6, intensity 18.4; 2θ 49.0, intensity 11.4; 2θ 52.8, intensity 20.3; 2θ 66.2, intensity 12.6; 2θ 70.0, intensity 17.4; 2θ 77.6, intensity 12.4

Structural model:
```
La3NdAs2Br2
1.0
4.2643 0.0000 0.0000
-2.1321 3.6930 0.0000
0.0000 0.0000 15.0558
La Nd As Br
3 1 2 2
Direct
0.0000 0.0000 0.0000
0.0000 0.0000 0.2887
0.6667 0.3333 0.5047
0.6667 0.3333 0.7902
0.3333 0.6667 0.3967
0.3333 0.6667 0.8919
0.0000 0.0000 0.6505
0.6667 0.3333 0.1442
```

***

Simulated X-ray diffraction stick pattern of Pr2Y2CBr2Cl3 for Cu Kα (λ = 1.5418 Å), from a crystal structure in OQMD, relaxed with PBE.
No peak broadening, texture or thermal motion is included.

Most intense lines, 15° ≤ 2θ ≤ 90°, in order of rising 2θ:
2θ 26.1, intensity 27.1; 2θ 28.9, intensity 15.3; 2θ 30.7, intensity 50.9; 2θ 31.8, intensity 22.8; 2θ 32.6, intensity 100.0; 2θ 34.7, intensity 20.7; 2θ 34.9, intensity 16.7; 2θ 38.9, intensity 14.7; 2θ 45.0, intensity 26.1; 2θ 45.8, intensity 32.9; 2θ 48.0, intensity 18.3; 2θ 58.0, intensity 15.4

Structural model:
```
Pr2Y2CBr2Cl3
1.0
9.0144 -1.8967 0.0000
9.0144 1.8967 0.0000
-1.9366 0.0000 7.7081
Pr Y C Br Cl
2 2 1 2 3
Direct
0.1455 0.1455 0.0867
0.8545 0.8545 0.9133
0.4998 0.4998 0.2093
0.5002 0.5002 0.7907
0.0000 0.0000 0.0000
0.3339 0.3339 0.1933
0.6661 0.6661 0.8067
0.0000 0.0000 0.5000
0.3460 0.3460 0.6431
0.6540 0.6540 0.3569
```

***

Simulated X-ray diffraction stick pattern of SiAg2HgTe2S2 for Cu Kα (λ = 1.5418 Å), from a crystal structure in OQMD, relaxed with PBE.
No peak broadening, texture or thermal motion is included.

Most intense lines, 15° ≤ 2θ ≤ 90°, in order of rising 2θ:
2θ 16.5, intensity 31.3; 2θ 25.4, intensity 92.2; 2θ 25.9, intensity 100.0; 2θ 26.4, intensity 23.9; 2θ 26.7, intensity 23.3; 2θ 34.1, intensity 31.5; 2θ 34.3, intensity 32.9; 2θ 41.9, intensity 22.8; 2θ 42.5, intensity 44.9; 2θ 42.6, intensity 34.0; 2θ 49.8, intensity 17.7; 2θ 50.2, intensity 21.3

Structural model:
```
SiAg2HgTe2S2
1.0
6.6560 -3.0093 0.0000
6.6560 3.0093 0.0000
-2.5469 0.0000 5.4267
Si Ag Hg Te S
1 2 1 2 2
Direct
0.0000 0.0000 0.0000
0.3136 0.1804 0.8125
0.8196 0.6864 0.1875
0.5077 0.4923 0.5000
0.1201 0.6098 0.6612
0.3902 0.8799 0.3388
0.7120 0.0803 0.1266
0.9197 0.2880 0.8734
```

***

Simulated X-ray diffraction stick pattern of KRbAg2S2 for Cu Kα (λ = 1.5418 Å), from a crystal structure in OQMD, relaxed with PBE.
No peak broadening, texture or thermal motion is included.

Most intense lines, 15° ≤ 2θ ≤ 90°, in order of rising 2θ:
2θ 17.3, intensity 59.7; 2θ 21.8, intensity 21.6; 2θ 25.7, intensity 25.6; 2θ 27.0, intensity 78.6; 2θ 32.3, intensity 100.0; 2θ 35.0, intensity 49.3; 2θ 35.8, intensity 30.5; 2θ 37.6, intensity 17.7; 2θ 44.8, intensity 36.1; 2θ 51.1, intensity 25.9; 2θ 55.7, intensity 18.6; 2θ 60.3, intensity 16.8

Structural model:
```
KRbAg2S2
1.0
6.5972 0.0000 0.0000
0.0000 3.3029 4.0707
0.0000 -3.3029 4.0707
K Rb Ag S
1 1 2 2
Direct
0.0000 0.0000 0.0000
0.5000 0.2512 0.2512
0.2480 0.6314 0.6314
0.7520 0.6314 0.6314
0.0000 0.4188 0.4188
0.5000 0.8415 0.8415
```

***

Simulated X-ray diffraction stick pattern of YHoGa3Si2 for Cu Kα (λ = 1.5418 Å), from a crystal structure in OQMD, relaxed with PBE.
No peak broadening, texture or thermal motion is included.

Most intense lines, 15° ≤ 2θ ≤ 90°, in order of rising 2θ:
2θ 23.7, intensity 16.4; 2θ 28.3, intensity 18.7; 2θ 34.7, intensity 50.9; 2θ 35.2, intensity 100.0; 2θ 35.4, intensity 13.8; 2θ 35.7, intensity 47.8; 2θ 39.4, intensity 43.9; 2θ 40.9, intensity 23.0; 2θ 44.7, intensity 28.8; 2θ 58.5, intensity 22.5; 2θ 62.2, intensity 13.0; 2θ 68.1, intensity 15.9

Structural model:
```
YHoGa3Si2
1.0
5.1268 -2.0267 0.0000
5.1268 2.0267 0.0000
-1.2773 0.0000 6.4816
Y Ho Ga Si
1 1 3 2
Direct
0.0000 0.0000 0.0000
0.7623 0.7623 0.3687
0.0776 0.0776 0.5434
0.3800 0.3800 0.6834
0.6849 0.6849 0.8239
0.2874 0.2874 0.0525
0.4749 0.4749 0.3183
```

***

Simulated X-ray diffraction stick pattern of Rb6Pd2O5 for Cu Kα (λ = 1.5418 Å), from a crystal structure in OQMD, relaxed with PBE.
No peak broadening, texture or thermal motion is included.

Most intense lines, 15° ≤ 2θ ≤ 90°, in order of rising 2θ:
2θ 19.2, intensity 10.2; 2θ 29.2, intensity 58.7; 2θ 29.4, intensity 21.2; 2θ 29.6, intensity 100.0; 2θ 32.0, intensity 14.9; 2θ 35.9, intensity 20.3; 2θ 36.3, intensity 20.9; 2θ 36.4, intensity 15.1; 2θ 47.5, intensity 23.5; 2θ 52.5, intensity 12.6; 2θ 55.7, intensity 8.6; 2θ 61.4, intensity 12.0

Structural model:
```
Rb6Pd2O5
1.0
3.5500 -6.0432 0.0000
3.5500 6.0432 0.0000
-0.0660 0.0000 6.9720
Rb Pd O
6 2 5
Direct
0.0000 0.0000 0.0000
0.3193 0.3193 0.5947
0.4354 0.9062 0.2876
0.4467 0.8613 0.7857
0.8613 0.4467 0.7857
0.9062 0.4354 0.2876
0.4524 0.4524 0.0996
0.8708 0.8708 0.4875
0.1144 0.8106 0.5545
0.1967 0.4740 0.9980
0.4740 0.1967 0.9980
0.6550 0.6550 0.2980
0.8106 0.1144 0.5545
```

***

Simulated X-ray diffraction stick pattern of InAgPbSe2S for Cu Kα (λ = 1.5418 Å), from a crystal structure in OQMD, relaxed with PBE.
No peak broadening, texture or thermal motion is included.

Most intense lines, 15° ≤ 2θ ≤ 90°, in order of rising 2θ:
2θ 20.5, intensity 28.1; 2θ 26.5, intensity 22.1; 2θ 28.7, intensity 50.9; 2θ 30.5, intensity 17.4; 2θ 31.5, intensity 50.2; 2θ 33.8, intensity 27.1; 2θ 34.5, intensity 100.0; 2θ 41.6, intensity 37.4; 2θ 44.0, intensity 19.5; 2θ 47.1, intensity 25.4; 2θ 54.4, intensity 20.1; 2θ 64.6, intensity 16.8

Structural model:
```
InAgPbSe2S
1.0
1.9304 -6.7298 0.0000
1.9304 6.7298 0.0000
0.0000 0.0000 11.3564
In Ag Pb Se S
2 2 2 4 2
Direct
0.2397 0.7603 0.7500
0.7603 0.2397 0.2500
0.4820 0.5180 0.2500
0.5180 0.4820 0.7500
0.0000 0.0000 0.0000
0.0000 0.0000 0.5000
0.3388 0.6612 0.0843
0.3388 0.6612 0.4157
0.6612 0.3388 0.5843
0.6612 0.3388 0.9157
0.1129 0.8871 0.2500
0.8871 0.1129 0.7500
```

***

Simulated X-ray diffraction stick pattern of AgI7 for Cu Kα (λ = 1.5418 Å), from a crystal structure in OQMD, relaxed with PBE.
No peak broadening, texture or thermal motion is included.

Most intense lines, 15° ≤ 2θ ≤ 90°, in order of rising 2θ:
2θ 20.6, intensity 18.9; 2θ 22.2, intensity 94.7; 2θ 23.2, intensity 100.0; 2θ 23.3, intensity 20.2; 2θ 24.4, intensity 44.3; 2θ 28.0, intensity 31.5; 2θ 28.9, intensity 38.2; 2θ 35.4, intensity 31.8; 2θ 38.5, intensity 17.7; 2θ 41.9, intensity 24.6; 2θ 42.1, intensity 25.8; 2θ 42.5, intensity 25.5

Structural model:
```
AgI7
1.0
8.7410 0.0000 0.0000
-4.3165 8.1316 0.0000
-0.6927 -1.9322 10.6363
Ag I
2 14
Direct
0.1910 0.4710 0.2345
0.8090 0.5290 0.7655
0.1563 0.7364 0.9213
0.2188 0.7438 0.6423
0.2406 0.1965 0.2370
0.2563 0.7667 0.3872
0.2630 0.2417 0.5086
0.2680 0.2992 0.7826
0.4364 0.7091 0.0739
0.5636 0.2909 0.9261
0.7320 0.7008 0.2174
0.7370 0.7583 0.4914
0.7437 0.2333 0.6128
0.7594 0.8035 0.7630
0.7812 0.2562 0.3577
0.8437 0.2636 0.0787
```

***

Simulated X-ray diffraction stick pattern of LiAl2ZnCu4 for Cu Kα (λ = 1.5418 Å), from a crystal structure in OQMD, relaxed with PBE.
No peak broadening, texture or thermal motion is included.

Most intense lines, 15° ≤ 2θ ≤ 90°, in order of rising 2θ:
2θ 16.9, intensity 12.1; 2θ 27.1, intensity 5.8; 2θ 29.9, intensity 9.1; 2θ 30.6, intensity 17.1; 2θ 35.2, intensity 5.7; 2θ 43.3, intensity 100.0; 2θ 43.9, intensity 48.0; 2θ 54.0, intensity 6.3; 2θ 62.0, intensity 8.0; 2θ 63.8, intensity 14.6; 2θ 79.1, intensity 15.1; 2θ 80.3, intensity 28.8

Structural model:
```
LiAl2ZnCu4
1.0
-2.9173 2.9173 5.9843
2.9173 -2.9173 5.9843
2.9173 2.9173 -5.9843
Li Al Zn Cu
2 4 2 8
Direct
0.3750 0.6250 0.7500
0.6250 0.3750 0.2500
0.1256 0.3756 0.7500
0.3756 0.1256 0.2500
0.6244 0.8744 0.7500
0.8744 0.6244 0.2500
0.1250 0.8750 0.2500
0.8750 0.1250 0.7500
0.0000 0.2546 0.2546
0.0000 0.7454 0.7454
0.2546 0.0000 0.7546
0.2546 0.5000 0.2546
0.5000 0.2546 0.7546
0.5000 0.7454 0.2454
0.7454 0.0000 0.2454
0.7454 0.5000 0.7454
```

***

Simulated X-ray diffraction stick pattern of K2GaAgF6 for Cu Kα (λ = 1.5418 Å), from a crystal structure in OQMD, relaxed with PBE.
No peak broadening, texture or thermal motion is included.

Most intense lines, 15° ≤ 2θ ≤ 90°, in order of rising 2θ:
2θ 21.4, intensity 47.5; 2θ 30.4, intensity 100.0; 2θ 35.8, intensity 4.7; 2θ 43.6, intensity 47.0; 2θ 47.7, intensity 4.3; 2θ 49.0, intensity 18.8; 2θ 54.1, intensity 35.3; 2θ 63.3, intensity 25.9; 2θ 67.6, intensity 8.3; 2θ 71.8, intensity 17.0; 2θ 80.0, intensity 7.9; 2θ 87.9, intensity 19.4

Structural model:
```
K2GaAgF6
1.0
0.0000 4.1553 4.1553
4.1553 0.0000 4.1553
4.1553 4.1553 0.0000
K Ga Ag F
2 1 1 6
Direct
0.2500 0.2500 0.2500
0.7500 0.7500 0.7500
0.0000 0.0000 0.0000
0.5000 0.5000 0.5000
0.2262 0.2262 0.7738
0.2262 0.7738 0.2262
0.2262 0.7738 0.7738
0.7738 0.2262 0.2262
0.7738 0.2262 0.7738
0.7738 0.7738 0.2262
```

***

> Which formula does entry 10 have?

AgI7

***

> Number 10 is which compound?

AgI7